# 1
Ca2Al2O5: computed PXRD pattern (a wavelength of 1.5418 Å), based on DFT lattice parameters and positions (PBE).
Intensities are scaled so that the largest is 100.

Most intense lines, 2θ from 10° to 90°, sorted by position:
Position (°2θ)	d (Å)	I (rel.)
12.18	7.264	64
24.70	3.604	58
33.09	2.707	98
33.31	2.690	100
33.84	2.649	86
34.31	2.613	62
44.49	2.036	49
46.94	1.936	65
48.37	1.882	55
50.24	1.816	48

Crystal structure
```
18
Lattice="3.7636 -7.2638 0.0000 3.7636 7.2638 0.0000 -3.7392 0.0000 3.8716" Properties=species:S:1:pos:R:3 pbc="T T T"
Ca 0.0101 2.0813 1.7397
Ca 0.0101 -2.0813 1.7397
Ca 3.7778 2.0813 2.1318
Ca 3.7778 -2.0813 2.1318
Al 1.8818 3.6319 0.0000
Al -1.3010 0.0000 3.8447
Al 1.8818 -3.6319 0.0000
Al 5.0890 0.0000 0.0269
O -2.1077 1.5680 3.8157
O 1.8940 3.5906 1.9358
O 3.7636 3.4603 0.0000
O -2.1077 -1.5680 3.8157
O 0.0572 0.0000 2.6060
O 3.7307 0.0000 1.2655
O 5.8956 1.5680 0.0559
O 3.7636 -3.4603 0.0000
O 1.8940 -3.5906 1.9358
O 5.8956 -1.5680 0.0559
```



# 2
Nb4Te3N2: computed PXRD pattern (a wavelength of 1.5418 Å), based on DFT lattice parameters and positions (PBE).
Intensities are scaled so that the largest is 100.

Most intense lines, 2θ from 10° to 90°, sorted by position:
Position (°2θ)	d (Å)	I (rel.)
10.99	8.049	68
16.85	5.262	43
31.42	2.847	52
33.13	2.704	62
33.32	2.689	46
34.10	2.629	100
36.10	2.488	60
36.91	2.435	45
38.27	2.352	44
41.70	2.166	68

Crystal structure
```
36
Lattice="5.7992 0.0000 0.0000 0.0000 10.5043 0.0000 0.0000 0.0000 12.5269" Properties=species:S:1:pos:R:3 pbc="T T T"
Nb 0.6309 2.6261 2.0481
Nb 0.9302 2.6261 5.5662
Nb 1.4002 0.4156 12.3744
Nb 1.4002 4.8365 12.3744
Nb 1.4994 5.6677 6.1109
Nb 1.4994 10.0887 6.1109
Nb 1.9694 7.8782 11.8296
Nb 2.2687 7.8782 8.3115
Nb 3.5305 2.6261 4.2154
Nb 3.8298 2.6261 0.6973
Nb 4.2998 0.4156 6.4160
Nb 4.2998 4.8365 6.4160
Nb 4.3990 5.6677 0.1525
Nb 4.3990 10.0887 0.1525
Nb 4.8690 7.8782 6.9608
Nb 5.1683 7.8782 10.4788
Te 0.2198 5.8099 8.5638
Te 0.2198 9.9465 8.5638
Te 0.7434 7.8782 4.5956
Te 2.1562 2.6261 10.8590
Te 2.6798 0.5578 2.3004
Te 2.6798 4.6944 2.3004
Te 3.1194 5.8099 10.2265
Te 3.1194 9.9465 10.2265
Te 3.6430 7.8782 1.6679
Te 5.0558 2.6261 7.9313
Te 5.5794 0.5578 3.9631
Te 5.5794 4.6944 3.9631
N 0.3131 6.5118 11.8393
N 0.3131 9.2445 11.8393
N 2.5865 1.2597 5.5758
N 2.5865 3.9924 5.5758
N 3.2127 6.5118 6.9511
N 3.2127 9.2445 6.9511
N 5.4861 1.2597 0.6876
N 5.4861 3.9924 0.6876
```



# 3
LiHPd: computed PXRD pattern (a wavelength of 1.5418 Å), based on DFT lattice parameters and positions (PBE).
Intensities are scaled so that the largest is 100.

Most intense lines, 2θ from 10° to 90°, sorted by position:
Position (°2θ)	d (Å)	I (rel.)
18.32	4.844	100
32.31	2.771	55
37.12	2.422	20
37.39	2.405	61
46.34	1.959	21
50.02	1.824	32
50.23	1.816	27
60.81	1.523	18
79.90	1.201	13
88.66	1.103	12

Crystal structure
```
3
Lattice="2.7710 0.0000 0.0000 0.0000 2.7710 0.0000 0.0000 0.0000 4.8439" Properties=species:S:1:pos:R:3 pbc="T T T"
Li 0.0000 0.0000 0.0000
H 1.3855 1.3855 2.4219
Pd 0.0000 0.0000 2.4219
```



# 4
PrCu2Si2: computed PXRD pattern (a wavelength of 1.5418 Å), based on DFT lattice parameters and positions (PBE).
Intensities are scaled so that the largest is 100.

Most intense lines, 2θ from 10° to 90°, sorted by position:
Position (°2θ)	d (Å)	I (rel.)
23.50	3.786	31
34.74	2.582	38
35.89	2.502	100
44.28	2.046	34
50.87	1.795	14
57.47	1.603	17
58.31	1.582	13
64.60	1.443	14
69.70	1.349	11
76.00	1.252	23

Crystal structure
```
10
Lattice="4.0912 0.0000 0.0000 0.0000 4.0912 0.0000 0.0000 0.0000 9.9872" Properties=species:S:1:pos:R:3 pbc="T T T"
Pr 0.0000 0.0000 0.0000
Pr 2.0456 2.0456 4.9936
Cu 0.0000 2.0456 2.4968
Cu 0.0000 2.0456 7.4904
Cu 2.0456 0.0000 2.4968
Cu 2.0456 0.0000 7.4904
Si 0.0000 0.0000 3.7821
Si 0.0000 0.0000 6.2051
Si 2.0456 2.0456 1.2115
Si 2.0456 2.0456 8.7756
```



# 5
SrSc2S4: computed PXRD pattern (a wavelength of 1.5418 Å), based on DFT lattice parameters and positions (PBE).
Intensities are scaled so that the largest is 100.

Most intense lines, 2θ from 10° to 90°, sorted by position:
Position (°2θ)	d (Å)	I (rel.)
25.93	3.436	24
26.23	3.398	51
30.53	2.928	24
31.50	2.840	100
33.23	2.696	32
33.51	2.674	60
38.46	2.341	56
39.35	2.290	38
42.36	2.134	35
47.82	1.902	36

Crystal structure
```
28
Lattice="11.7261 0.0000 0.0000 0.0000 3.8043 0.0000 0.0000 0.0000 13.7447" Properties=species:S:1:pos:R:3 pbc="T T T"
Sr 2.8036 0.9511 2.2880
Sr 3.0595 2.8533 9.1603
Sr 8.6667 0.9511 4.5844
Sr 8.9225 2.8533 11.4567
Sc 0.7035 0.9511 5.3676
Sc 0.9471 0.9511 12.3906
Sc 4.9160 2.8533 5.5183
Sc 5.1596 2.8533 12.2400
Sc 6.5666 0.9511 1.5047
Sc 6.8101 0.9511 8.2264
Sc 10.7790 2.8533 1.3541
Sc 11.0226 2.8533 8.3771
S 0.3267 2.8533 10.7804
S 1.0099 0.9511 7.9032
S 1.4377 2.8533 0.3695
S 2.3880 2.8533 4.6714
S 3.4751 0.9511 11.5438
S 4.4254 0.9511 7.2418
S 4.8531 2.8533 1.0309
S 5.5364 0.9511 3.9081
S 6.1897 2.8533 9.8366
S 6.8730 0.9511 12.7138
S 7.3008 2.8533 6.5029
S 8.2510 2.8533 2.2009
S 9.3381 0.9511 9.0733
S 10.2884 0.9511 13.3752
S 10.7162 2.8533 5.8415
S 11.3995 0.9511 2.9643
```